Structure and simulated powder XRD pattern of Ce5Ge4 (a crystal structure in the Materials Project, relaxed with PBE; a wavelength of 1.5418 Å).
Peak positions follow from Bragg's law for the DFT cell and can differ from measured ones.

Structure:
a = 7.833 Å, b = 14.933 Å, c = 7.926 Å
α = 90.00°, β = 90.00°, γ = 90.00°
Space group Pnma (No. 62)
Inequivalent atoms, fractional coordinates:
Ce 0.024 0.102 0.186 (multiplicity 8)
Ce 0.113 0.618 0.336 (multiplicity 8)
Ce 0.202 0.250 0.505 (multiplicity 4)
Ge 0.083 0.250 0.892 (multiplicity 4)
Ge 0.179 0.750 0.636 (multiplicity 4)
Ge 0.223 0.043 0.532 (multiplicity 8)

Most intense lines, 5° ≤ 2θ ≤ 70°, by intensity:
two_theta, Rel. int.
31.0, 100
35.1, 57
33.0, 56
36.4, 50
33.2, 45
32.1, 45
31.2, 40
36.1, 29

---

Structure and simulated powder XRD pattern of SrMn2N2 (a crystal structure in the Materials Project, relaxed with PBE; a wavelength of 1.5418 Å).
Peak positions follow from Bragg's law for the DFT cell and can differ from measured ones.

Structure:
a = 3.3627 Å, b = 3.3627 Å, c = 6.3236 Å
α = 90.00°, β = 90.00°, γ = 120.00°
Space group P-3m1 (No. 164)
Inequivalent atoms, fractional coordinates:
Sr 0.0000 0.0000 0.0000 (multiplicity 1)
Mn 0.3333 0.6667 0.3854 (multiplicity 2)
N 0.3333 0.6667 0.6920 (multiplicity 2)

Most intense lines, 5° ≤ 2θ ≤ 70°, by intensity:
two_theta, Rel. int.
33.9, 100
42.2, 39
54.6, 30
67.4, 14
65.8, 14
53.7, 13
42.9, 13
28.2, 9

---

Structure and simulated powder XRD pattern of NaAlH8N4 (a crystal structure in the Materials Project, relaxed with PBE; a wavelength of 1.5418 Å).
Peak positions follow from Bragg's law for the DFT cell and can differ from measured ones.

Structure:
a = 9.265 Å, b = 7.839 Å, c = 8.637 Å
α = 90.00°, β = 108.83°, γ = 90.00°
Space group P2_1/c (No. 14)
Inequivalent atoms, fractional coordinates:
Na 0.177 0.225 0.246 (multiplicity 4)
Al 0.425 0.042 0.124 (multiplicity 4)
H 0.044 0.693 0.524 (multiplicity 4)
H 0.073 0.629 0.475 (multiplicity 4)
H 0.111 0.016 0.515 (multiplicity 4)
H 0.271 0.665 0.967 (multiplicity 4)
H 0.288 0.592 0.335 (multiplicity 4)
H 0.309 0.193 0.013 (multiplicity 4)
H 0.399 0.621 0.865 (multiplicity 4)
H 0.458 0.664 0.074 (multiplicity 4)
N 0.039 0.045 0.368 (multiplicity 4)
N 0.097 0.507 0.154 (multiplicity 4)
N 0.378 0.699 0.960 (multiplicity 4)
N 0.387 0.620 0.430 (multiplicity 4)

Most intense lines, 5° ≤ 2θ ≤ 70°, by intensity:
two_theta, Rel. int.
16.6, 100
20.5, 95
29.2, 71
23.2, 64
30.6, 38
31.4, 30
25.2, 29
40.5, 25

---

Structure and simulated powder XRD pattern of Eu2MgS4 (a crystal structure in the Materials Project, relaxed with PBE; a wavelength of 1.5418 Å).
Peak positions follow from Bragg's law for the DFT cell and can differ from measured ones.

Structure:
a = 11.420 Å, b = 11.420 Å, c = 11.420 Å
α = 90.00°, β = 90.00°, γ = 90.00°
Space group Fd-3m (No. 227, origin choice 2)
Inequivalent atoms, fractional coordinates:
Eu 0.000 0.000 0.000 (multiplicity 16)
Mg 0.125 0.125 0.625 (multiplicity 8)
S 0.002 0.002 0.248 (multiplicity 32)

Most intense lines, 5° ≤ 2θ ≤ 70°, by intensity:
two_theta, Rel. int.
25.9, 100
13.4, 96
31.3, 91
44.9, 82
41.1, 41
27.0, 29
34.2, 28
47.1, 26

---

Structure and simulated powder XRD pattern of BaYBr5 (a crystal structure in the Materials Project, relaxed with PBE; a wavelength of 1.5418 Å).
Peak positions follow from Bragg's law for the DFT cell and can differ from measured ones.

Structure:
a = 5.946 Å, b = 20.414 Å, c = 7.253 Å
α = 90.00°, β = 93.41°, γ = 90.00°
Space group C2/c (No. 15)
Inequivalent atoms, fractional coordinates:
Ba 0.000 0.172 0.250 (multiplicity 4)
Y 0.000 0.423 0.250 (multiplicity 4)
Br 0.000 0.129 0.750 (multiplicity 4)
Br 0.007 0.312 0.998 (multiplicity 8)
Br 0.243 0.468 0.596 (multiplicity 8)

Most intense lines, 5° ≤ 2θ ≤ 70°, by intensity:
two_theta, Rel. int.
32.5, 100
31.4, 41
28.4, 40
35.8, 38
41.4, 28
35.0, 27
36.6, 26
36.2, 26

---

Structure and simulated powder XRD pattern of Y3Ge4 (a crystal structure in the Materials Project, relaxed with PBE; a wavelength of 1.5418 Å).
Peak positions follow from Bragg's law for the DFT cell and can differ from measured ones.

Structure:
a = 4.083 Å, b = 10.727 Å, c = 14.345 Å
α = 90.00°, β = 90.00°, γ = 90.00°
Space group Cmcm (No. 63)
Inequivalent atoms, fractional coordinates:
Y 0.000 0.045 0.250 (multiplicity 4)
Y 0.000 0.330 0.097 (multiplicity 8)
Ge 0.000 0.000 0.000 (multiplicity 4)
Ge 0.000 0.227 0.750 (multiplicity 4)
Ge 0.000 0.381 0.609 (multiplicity 8)

Most intense lines, 5° ≤ 2θ ≤ 70°, by intensity:
two_theta, Rel. int.
34.3, 100
33.3, 67
38.4, 42
42.1, 40
44.4, 34
30.0, 29
34.0, 24
62.8, 20

---

Structure and simulated powder XRD pattern of La6Al5Fe9 (a crystal structure in the Materials Project, relaxed with PBE; a wavelength of 1.5418 Å).
Peak positions follow from Bragg's law for the DFT cell and can differ from measured ones.

Structure:
a = 8.208 Å, b = 8.208 Å, c = 23.962 Å
α = 90.00°, β = 90.00°, γ = 90.00°
Space group I4/mcm (No. 140)
Inequivalent atoms, fractional coordinates:
La 0.000 0.000 0.107 (multiplicity 8)
La 0.168 0.332 0.189 (multiplicity 16)
Al 0.000 0.000 0.250 (multiplicity 4)
Al 0.118 0.382 0.409 (multiplicity 16)
Fe 0.000 0.500 0.000 (multiplicity 4)
Fe 0.068 0.210 0.500 (multiplicity 16)
Fe 0.176 0.324 0.055 (multiplicity 16)

Most intense lines, 5° ≤ 2θ ≤ 70°, by intensity:
two_theta, Rel. int.
26.7, 100
30.7, 81
34.6, 80
37.2, 74
7.4, 69
45.7, 52
49.6, 51
35.9, 43

---

Please write out number 6 again, unchanged.
Structure and simulated powder XRD pattern of Y3Ge4 (a crystal structure in the Materials Project, relaxed with PBE; a wavelength of 1.5418 Å).
Peak positions follow from Bragg's law for the DFT cell and can differ from measured ones.

Structure:
a = 4.083 Å, b = 10.727 Å, c = 14.345 Å
α = 90.00°, β = 90.00°, γ = 90.00°
Space group Cmcm (No. 63)
Inequivalent atoms, fractional coordinates:
Y 0.000 0.045 0.250 (multiplicity 4)
Y 0.000 0.330 0.097 (multiplicity 8)
Ge 0.000 0.000 0.000 (multiplicity 4)
Ge 0.000 0.227 0.750 (multiplicity 4)
Ge 0.000 0.381 0.609 (multiplicity 8)

Most intense lines, 5° ≤ 2θ ≤ 70°, by intensity:
two_theta, Rel. int.
34.3, 100
33.3, 67
38.4, 42
42.1, 40
44.4, 34
30.0, 29
34.0, 24
62.8, 20